This entry pairs a crystal structure of Ir3RuRh3 with its theoretical PXRD pattern. Radiation: Cu Kα. Structure: a cell relaxed with PBE.

Cell and atoms:
```
data_Ir3RuRh3
_symmetry_space_group_name_H-M 'C 1 2/m 1'
_symmetry_Int_Tables_number 12
_symmetry_space_group_name_Hall '-C 2y'
_cell_length_a 6.881
_cell_length_b 7.408
_cell_length_c 8.382
_cell_angle_alpha 90.00
_cell_angle_beta 90.11
_cell_angle_gamma 90.00
loop_
_atom_site_label
_atom_site_fract_x
_atom_site_fract_y
_atom_site_fract_z
Ir1 0.053 0.000 0.245
Ir2 0.226 0.315 0.255
Ru1 0.184 0.500 0.536
Rh1 0.000 0.198 0.000
Rh2 0.000 0.198 0.500
Rh3 0.079 0.500 0.843
```

Largest 10 diffraction maxima, low angle first, 10° ≤ 2θ ≤ 80°:
Position (°2θ)  I_rel  hkl
21.20  30  0 0 2
33.71  25  2 0 2
40.27  59  1 3 1
41.20  13  3 1 0
41.81  100  2 2 -2
42.66  33  3 1 1
43.17  32  0 0 4
44.58  33  1 3 -2
46.98  15  1 1 4
51.13  17  1 3 3